Entry 1:
Diffraction record for Na2LiCuPCO7. The powder XRD pattern is calculated, not measured: it uses a crystal structure in Alexandria, relaxed with GGA-PBE and λ = 1.5418 Å (Cu Kα).

Top 6 peaks for 10 to 90 degrees two-theta, by angle:
d = 3.316 Å, I = 86; d = 3.299 Å, I = 63; d = 2.664 Å, I = 100; d = 2.637 Å, I = 55; d = 2.538 Å, I = 78; d = 1.854 Å, I = 57

Cell lengths 5.0804, 6.6324, 8.9447 Å; angles 90.00, 91.98, 90.00 degrees
Positions (direct):
1 Na 0.2382 0.0094 0.2504
2 Na 0.2382 0.4906 0.2504
3 Na 0.7618 0.5094 0.7496
4 Na 0.7618 0.9906 0.7496
5 Li 0.2353 0.2500 0.8795
6 Li 0.7647 0.7500 0.1205
7 Cu 0.2354 0.7500 0.6408
8 Cu 0.7646 0.2500 0.3592
9 P 0.3377 0.2500 0.5849
10 P 0.6623 0.7500 0.4151
11 C 0.2590 0.7500 0.9573
12 C 0.7410 0.2500 0.0427
13 O 0.0967 0.7500 0.8396
14 O 0.1496 0.7500 0.0862
15 O 0.1910 0.2500 0.4326
16 O 0.2746 0.0649 0.6867
17 O 0.2746 0.4351 0.6867
18 O 0.3574 0.7500 0.4394
19 O 0.4900 0.2500 0.0562
20 O 0.5100 0.7500 0.9438
21 O 0.6426 0.2500 0.5606
22 O 0.7254 0.5649 0.3133
23 O 0.7254 0.9351 0.3133
24 O 0.8090 0.7500 0.5674
25 O 0.8504 0.2500 0.9138
26 O 0.9033 0.2500 0.1604

---

Entry 2:
Diffraction record for LiCuCO3. The powder XRD pattern is calculated, not measured: it uses a crystal structure in Alexandria, relaxed with GGA-PBE and λ = 1.5418 Å (Cu Kα).

Top 6 peaks for 10 to 90 degrees two-theta, by angle:
d = 8.833 Å, I = 100; d = 3.685 Å, I = 10; d = 3.152 Å, I = 59; d = 2.969 Å, I = 17; d = 2.536 Å, I = 32; d = 1.976 Å, I = 29

Cell lengths 4.1163, 4.1163, 8.8325 Å; angles 90.00, 90.00, 99.95 degrees
Positions (direct):
1 Li 0.2500 0.7500 0.8626
2 Li 0.7500 0.2500 0.1374
3 Cu 0.0000 0.5000 0.5000
4 Cu 0.5000 0.0000 0.5000
5 C 0.2500 0.7500 0.2174
6 C 0.7500 0.2500 0.7826
7 O 0.0331 0.5331 0.2903
8 O 0.2500 0.7500 0.0749
9 O 0.4669 0.9669 0.2903
10 O 0.5331 0.0331 0.7097
11 O 0.7500 0.2500 0.9251
12 O 0.9669 0.4669 0.7097

---

Entry 3:
Diffraction record for LiCu3C3O9. The powder XRD pattern is calculated, not measured: it uses a crystal structure in Alexandria, relaxed with GGA-PBE and λ = 1.5418 Å (Cu Kα).

Top 6 peaks for 10 to 90 degrees two-theta, by angle:
d = 4.148 Å, I = 85; d = 4.052 Å, I = 100; d = 4.020 Å, I = 88; d = 2.477 Å, I = 54; d = 2.456 Å, I = 52; d = 2.449 Å, I = 67

Cell lengths 8.0425, 6.1777, 8.1094 Å; angles 90.00, 118.19, 90.00 degrees
Positions (direct):
1 Li 0.0000 0.0000 0.0000
2 Li 0.3487 0.5000 0.7411
3 Cu 0.0105 0.2504 0.3531
4 Cu 0.0105 0.7496 0.3531
5 Cu 0.3993 0.2575 0.1023
6 Cu 0.3993 0.7425 0.1023
7 Cu 0.6859 0.2147 0.6601
8 Cu 0.6859 0.7853 0.6601
9 C 0.0403 0.2543 0.7311
10 C 0.0403 0.7457 0.7311
11 C 0.3263 0.0000 0.3619
12 C 0.3710 0.5000 0.4032
13 C 0.6729 0.0000 0.0193
14 C 0.6955 0.5000 0.0688
15 O 0.2085 0.0000 0.4284
16 O 0.2203 0.2700 0.8101
17 O 0.2203 0.7300 0.8101
18 O 0.2531 0.5000 0.4702
19 O 0.2670 0.0000 0.1800
20 O 0.3033 0.5000 0.2209
21 O 0.5072 0.0000 0.4703
22 O 0.5524 0.5000 0.5156
23 O 0.5578 0.0000 0.0922
24 O 0.5883 0.5000 0.1520
25 O 0.6107 0.0000 0.8420
26 O 0.6273 0.5000 0.8942
27 O 0.8549 0.0000 0.1349
28 O 0.8796 0.5000 0.1825
29 O 0.9345 0.2490 0.5520
30 O 0.9345 0.7510 0.5520
31 O 0.9525 0.2429 0.8324
32 O 0.9525 0.7571 0.8324

---

Entry 4:
Diffraction record for LiCuCO3. The powder XRD pattern is calculated, not measured: it uses a crystal structure in Alexandria, relaxed with GGA-PBE and λ = 1.5418 Å (Cu Kα).

Top 6 peaks for 10 to 90 degrees two-theta, by angle:
d = 4.114 Å, I = 100; d = 2.487 Å, I = 92; d = 2.375 Å, I = 36; d = 2.057 Å, I = 21; d = 1.891 Å, I = 31; d = 1.718 Å, I = 28

Cell lengths 8.2279, 8.2279, 3.1230 Å; angles 90.00, 90.00, 120.00 degrees
Positions (direct):
1 Li 0.0386 0.3675 0.0000
2 Li 0.3289 0.9614 0.0000
3 Li 0.6325 0.6711 0.0000
4 Cu 0.3353 0.3074 0.5000
5 Cu 0.6926 0.0279 0.5000
6 Cu 0.9721 0.6647 0.5000
7 C 0.0000 0.0000 0.0000
8 C 0.3333 0.6667 0.5000
9 C 0.6667 0.3333 0.0000
10 O 0.1828 0.0862 0.0000
11 O 0.2204 0.4856 0.5000
12 O 0.2652 0.7796 0.5000
13 O 0.5144 0.7348 0.5000
14 O 0.5575 0.4061 0.0000
15 O 0.5939 0.1513 0.0000
16 O 0.8487 0.4425 0.0000
17 O 0.9034 0.8172 0.0000
18 O 0.9138 0.0966 0.0000

---

Entry 5:
Diffraction record for LiCuCO3. The powder XRD pattern is calculated, not measured: it uses a crystal structure in Alexandria, relaxed with GGA-PBE and λ = 1.5418 Å (Cu Kα).

Top 6 peaks for 10 to 90 degrees two-theta, by angle:
d = 4.176 Å, I = 100; d = 3.060 Å, I = 37; d = 2.480 Å, I = 22; d = 2.461 Å, I = 20; d = 2.411 Å, I = 42; d = 2.088 Å, I = 38

Cell lengths 3.0602, 14.4636, 14.4654 Å; angles 60.02, 89.33, 89.42 degrees
Positions (direct):
1 Li 0.0000 0.0000 0.0000
2 Li 0.0013 0.9717 0.6968
3 Li 0.0034 0.3150 0.0249
4 Li 0.0099 0.3339 0.7020
5 Li 0.0451 0.6677 0.0287
6 Li 0.0654 0.9945 0.3573
7 Li 0.0761 0.6728 0.6606
8 Li 0.9775 0.6313 0.3627
9 Li 0.9817 0.3281 0.3442
10 Cu 0.3889 0.4233 0.4689
11 Cu 0.4215 0.1086 0.7920
12 Cu 0.4270 0.4387 0.8062
13 Cu 0.4473 0.7636 0.7951
14 Cu 0.5032 0.0921 0.1383
15 Cu 0.5387 0.1092 0.4663
16 Cu 0.5405 0.4372 0.1214
17 Cu 0.6158 0.7661 0.1380
18 Cu 0.6511 0.7758 0.4528
19 C 0.0631 0.2106 0.5857
20 C 0.0947 0.5566 0.9008
21 C 0.4925 0.5391 0.2415
22 C 0.5125 0.2123 0.9164
23 C 0.5192 0.2129 0.2419
24 C 0.5200 0.8797 0.9085
25 C 0.5225 0.5459 0.5752
26 C 0.5596 0.8872 0.5680
27 C 0.9658 0.8716 0.2389
28 O 0.0696 0.9526 0.2479
29 O 0.0726 0.1165 0.6717
30 O 0.1029 0.6426 0.9088
31 O 0.1596 0.2938 0.5939
32 O 0.1961 0.5646 0.8093
33 O 0.4588 0.4417 0.3208
34 O 0.4885 0.5569 0.4806
35 O 0.4925 0.6185 0.2593
36 O 0.5009 0.2917 0.9349
37 O 0.5037 0.4513 0.6596
38 O 0.5051 0.8944 0.8122
39 O 0.5081 0.9614 0.9232
40 O 0.5133 0.2305 0.8191
41 O 0.5145 0.1155 0.2598
42 O 0.5179 0.2309 0.3214
43 O 0.5214 0.1140 0.9959
44 O 0.5255 0.2923 0.1445
45 O 0.5275 0.5576 0.1435
46 O 0.5301 0.9667 0.5867
47 O 0.5468 0.7835 0.9899
48 O 0.5649 0.7900 0.6471
49 O 0.5757 0.6295 0.5857
50 O 0.5828 0.9056 0.4702
51 O 0.8664 0.7802 0.3221
52 O 0.9558 0.8799 0.1448
53 O 0.9625 0.2196 0.4956
54 O 0.9904 0.4666 0.9822

---

Entry 6:
Diffraction record for Li2Cu3C3O9. The powder XRD pattern is calculated, not measured: it uses a crystal structure in Alexandria, relaxed with GGA-PBE and λ = 1.5418 Å (Cu Kα).

Top 6 peaks for 10 to 90 degrees two-theta, by angle:
d = 4.134 Å, I = 65; d = 4.109 Å, I = 67; d = 4.068 Å, I = 74; d = 2.483 Å, I = 100; d = 2.472 Å, I = 57; d = 2.351 Å, I = 33

Cell lengths 8.1353, 6.2241, 8.2190 Å; angles 90.00, 119.27, 90.00 degrees
Positions (direct):
1 Li 0.0000 0.0000 0.0000
2 Li 0.0182 0.5000 0.0200
3 Li 0.4313 0.5000 0.7086
4 Li 0.6917 0.0000 0.2777
5 Cu 0.0738 0.2557 0.3808
6 Cu 0.0738 0.7443 0.3808
7 Cu 0.3516 0.2337 0.9800
8 Cu 0.3516 0.7663 0.9800
9 Cu 0.7005 0.2519 0.6237
10 Cu 0.7005 0.7481 0.6237
11 C 0.0191 0.0000 0.6542
12 C 0.0648 0.5000 0.6864
13 C 0.3572 0.0000 0.3072
14 C 0.3814 0.5000 0.3458
15 C 0.7165 0.2513 0.9993
16 C 0.7165 0.7487 0.9993
17 O 0.1970 0.0000 0.7647
18 O 0.2506 0.5000 0.7988
19 O 0.2516 0.0000 0.3838
20 O 0.2771 0.0000 0.1229
21 O 0.2840 0.5000 0.4351
22 O 0.2975 0.5000 0.1678
23 O 0.5392 0.0000 0.4037
24 O 0.5660 0.5000 0.4461
25 O 0.6161 0.2687 0.8203
26 O 0.6161 0.7313 0.8203
27 O 0.6373 0.2366 0.1018
28 O 0.6373 0.7634 0.1018
29 O 0.8998 0.0000 0.7210
30 O 0.9019 0.2485 0.0785
31 O 0.9019 0.7515 0.0785
32 O 0.9526 0.0000 0.4733
33 O 0.9544 0.5000 0.7573
34 O 0.9968 0.5000 0.5069

---

Entry 7:
Diffraction record for LiCu2C2O6. The powder XRD pattern is calculated, not measured: it uses a crystal structure in Alexandria, relaxed with GGA-PBE and λ = 1.5418 Å (Cu Kα).

Top 6 peaks for 10 to 90 degrees two-theta, by angle:
d = 6.486 Å, I = 100; d = 3.913 Å, I = 48; d = 3.087 Å, I = 23; d = 2.964 Å, I = 79; d = 2.423 Å, I = 18; d = 2.113 Å, I = 15

Cell lengths 4.6409, 4.8805, 6.7972 Å; angles 86.05, 73.14, 62.62 degrees
Positions (direct):
1 Li 0.0000 0.0000 0.0000
2 Cu 0.0755 0.8912 0.5539
3 Cu 0.3266 0.2137 0.4029
4 C 0.6993 0.6097 0.2248
5 C 0.7081 0.4864 0.7379
6 O 0.4302 0.5872 0.3469
7 O 0.4472 0.7148 0.8377
8 O 0.6908 0.8820 0.2219
9 O 0.7571 0.2007 0.7626
10 O 0.9500 0.3766 0.1206
11 O 0.9518 0.5271 0.5973

---

Entry 8:
Diffraction record for LiCu2C3O9. The powder XRD pattern is calculated, not measured: it uses a crystal structure in Alexandria, relaxed with GGA-PBE and λ = 1.5418 Å (Cu Kα).

Top 6 peaks for 10 to 90 degrees two-theta, by angle:
d = 6.500 Å, I = 100; d = 6.416 Å, I = 76; d = 6.353 Å, I = 67; d = 4.595 Å, I = 72; d = 4.475 Å, I = 66; d = 2.841 Å, I = 67

Cell lengths 7.5866, 7.6304, 7.9504 Å; angles 111.18, 109.51, 105.70 degrees
Positions (direct):
1 Li 0.0000 0.0000 0.0000
2 Li 0.4143 0.5389 0.7624
3 Cu 0.1363 0.9618 0.6172
4 Cu 0.2780 0.6798 0.2978
5 Cu 0.7188 0.0018 0.3395
6 Cu 0.7981 0.4802 0.6765
7 C 0.0288 0.4149 0.4566
8 C 0.1220 0.3799 0.8863
9 C 0.3458 0.9103 0.9598
10 C 0.4802 0.1506 0.5407
11 C 0.7153 0.7661 0.5564
12 C 0.9155 0.7531 0.1820
13 O 0.9996 0.5471 0.5940
14 O 0.1812 0.3156 0.7539
15 O 0.2098 0.4940 0.4739
16 O 0.2299 0.9351 0.0391
17 O 0.2331 0.4267 0.0757
18 O 0.3327 0.9778 0.4926
19 O 0.3564 0.9712 0.8280
20 O 0.4677 0.8239 0.0034
21 O 0.5361 0.3282 0.6933
22 O 0.5778 0.1542 0.4350
23 O 0.5932 0.7994 0.4216
24 O 0.6341 0.5918 0.5499
25 O 0.8373 0.7561 0.0168
26 O 0.8922 0.2270 0.3146
27 O 0.9043 0.9084 0.6925
28 O 0.9224 0.8930 0.3503
29 O 0.9472 0.3946 0.8458
30 O 0.9883 0.6277 0.2123

---

Entry 9:
Diffraction record for LiCuCO3. The powder XRD pattern is calculated, not measured: it uses a crystal structure in Alexandria, relaxed with GGA-PBE and λ = 1.5418 Å (Cu Kα).

Top 6 peaks for 10 to 90 degrees two-theta, by angle:
d = 8.443 Å, I = 100; d = 4.221 Å, I = 15; d = 3.602 Å, I = 21; d = 2.633 Å, I = 35; d = 2.515 Å, I = 69; d = 2.318 Å, I = 31

Cell lengths 9.3358, 9.3358, 9.3358 Å; angles 145.47, 144.28, 50.53 degrees
Positions (direct):
1 Li 0.2500 0.4963 0.2463
2 Li 0.2500 0.9963 0.7463
3 Li 0.7500 0.0037 0.2537
4 Li 0.7500 0.5037 0.7537
5 Cu 0.1419 0.2500 0.3919
6 Cu 0.3581 0.7500 0.1081
7 Cu 0.6419 0.2500 0.8919
8 Cu 0.8581 0.7500 0.6081
9 C 0.1087 0.3587 0.7500
10 C 0.3913 0.1413 0.2500
11 C 0.6087 0.8587 0.7500
12 C 0.8913 0.6413 0.2500
13 O 0.0276 0.2233 0.4649
14 O 0.0305 0.2805 0.7500
15 O 0.2416 0.2767 0.3044
16 O 0.2584 0.5628 0.0351
17 O 0.4695 0.2195 0.2500
18 O 0.4724 0.9372 0.1956
19 O 0.5276 0.0628 0.8044
20 O 0.5305 0.7805 0.7500
21 O 0.7416 0.4372 0.9649
22 O 0.7584 0.7233 0.6956
23 O 0.9695 0.7195 0.2500
24 O 0.9724 0.7767 0.5351